Calculated PXRD pattern
Compound: Mn2Nb2ZnO9
Radiation: copper Kα
Structure: the GGA+U geometry in Alexandria
Kinematic intensities with the Lorentz-polarization factor, no thermal factor.

The 10 most intense peaks (2θ from 10° to 80°), sorted by position:
d 4.552, I 49, (1 0 0); d 3.824, I 33, (1 0 2); d 2.787, I 100, (1 0 4); d 2.628, I 60, (1 1 0); d 2.294, I 12, (1 1 3); d 1.912, I 39, (2 0 4); d 1.752, I 19, (1 1 6); d 1.546, I 37, (2 1 4); d 1.517, I 25, (3 0 0); d 1.464, I 18, (1 1 8)

Crystal structure
```
data_Mn2Nb2ZnO9
_symmetry_space_group_name_H-M 'P -6 c 2'
_symmetry_Int_Tables_number 188
_symmetry_space_group_name_Hall 'P -6c 2'
_cell_length_a 5.2558
_cell_length_b 5.2558
_cell_length_c 14.0972
_cell_angle_alpha 90.00
_cell_angle_beta 90.00
_cell_angle_gamma 120.00
loop_
_atom_site_label
_atom_site_fract_x
_atom_site_fract_y
_atom_site_fract_z
Mn1 0.0000 0.0000 0.0000
Mn2 0.3333 0.6667 0.0000
Nb1 0.6667 0.3333 0.1442
Zn1 0.0000 0.0000 0.2500
O1 0.3174 0.0185 0.0778
O2 0.3868 0.0643 0.7500
```